No. 1
Diffraction record for Ce5Cu19P12. The X-ray diffraction stick pattern is simulated, not measured: it uses DFT lattice parameters and positions (GGA-PBE) and a wavelength of 1.5418 Å.
No peak broadening, texture or thermal motion is included.

Main lines, most intense first (2θ = 5–70°):
| 2θ/deg | d (Å) | intensity |
| --- | --- | --- |
| 36.66 | 2.451 | 100 |
| 36.82 | 2.441 | 87 |
| 46.72 | 1.944 | 40 |
| 50.22 | 1.817 | 33 |
| 37.82 | 2.379 | 33 |
| 37.76 | 2.382 | 23 |
| 37.61 | 2.392 | 16 |
| 43.12 | 2.098 | 15 |

Cell and atoms:
```
data_Ce5Cu19P12
_chemical_formula_sum 'Ce5 Cu19 P12'
_space_group_name_H-M_alt 'P 1'
_space_group_IT_number 1
_space_group_name_Hall 'P 1'
_cell_length_a 3.889
_cell_length_b 12.586
_cell_length_c 12.587
_cell_angle_alpha 60.01
_cell_angle_beta 89.82
_cell_angle_gamma 89.64
loop_
_atom_site_label
_atom_site_type_symbol
_atom_site_fract_x
_atom_site_fract_y
_atom_site_fract_z
Ce1 Ce 0.000 0.000 0.000
Ce2 Ce 0.000 0.186 0.627
Ce3 Ce 0.500 0.520 0.147
Ce4 Ce 0.500 0.853 0.481
Ce5 Ce 0.999 0.373 0.813
Cu1 Cu 0.004 0.186 0.102
Cu2 Cu 0.004 0.474 0.525
Cu3 Cu 0.009 0.304 0.335
Cu4 Cu 0.009 0.826 0.292
Cu5 Cu 0.012 0.068 0.453
Cu6 Cu 0.012 0.708 0.174
Cu7 Cu 0.420 0.732 0.814
Cu8 Cu 0.495 0.013 0.194
Cu9 Cu 0.495 0.392 0.434
Cu10 Cu 0.495 0.566 0.607
Cu11 Cu 0.496 0.360 0.020
Cu12 Cu 0.499 0.186 0.814
Cu13 Cu 0.505 0.807 0.987
Cu14 Cu 0.505 0.980 0.640
Cu15 Cu 0.579 0.187 0.268
Cu16 Cu 0.579 0.641 0.359
Cu17 Cu 0.987 0.547 0.932
Cu18 Cu 0.988 0.665 0.696
Cu19 Cu 0.997 0.898 0.814
P1 P 0.004 0.702 0.987
P2 P 0.004 0.875 0.640
P3 P 0.495 0.548 0.814
P4 P 0.498 0.011 0.813
P5 P 0.502 0.186 0.989
P6 P 0.502 0.362 0.638
P7 P 0.503 0.186 0.452
P8 P 0.503 0.825 0.175
P9 P 0.995 0.013 0.299
P10 P 0.995 0.498 0.329
P11 P 0.997 0.359 0.126
P12 P 0.997 0.671 0.502
```

=====

No. 2
Diffraction record for Li8BiO6. The X-ray diffraction stick pattern is simulated, not measured: it uses DFT lattice parameters and positions (GGA-PBE) and a wavelength of 1.5418 Å.
No peak broadening, texture or thermal motion is included.

Main lines, most intense first (2θ = 5–70°):
| 2θ/deg | d (Å) | intensity |
| --- | --- | --- |
| 18.95 | 4.684 | 100 |
| 21.23 | 4.186 | 82 |
| 35.89 | 2.502 | 58 |
| 46.59 | 1.950 | 45 |
| 16.46 | 5.384 | 41 |
| 28.66 | 3.115 | 35 |
| 33.23 | 2.696 | 30 |
| 37.16 | 2.420 | 19 |

Cell and atoms:
```
data_Li8BiO6
_chemical_formula_sum 'Li24 Bi3 O18'
_space_group_name_H-M_alt 'R -3'
_space_group_IT_number 148
_space_group_name_Hall '-R 3'
_cell_length_a 5.6518
_cell_length_b 5.6518
_cell_length_c 16.1521
_cell_angle_alpha 90.00
_cell_angle_beta 90.00
_cell_angle_gamma 120.00
loop_
_atom_site_label
_atom_site_type_symbol
_atom_site_fract_x
_atom_site_fract_y
_atom_site_fract_z
Li1 Li 0.0000 0.0000 0.1510
Li2 Li 0.0157 0.3151 0.7115
Bi1 Bi 0.0000 0.0000 0.5000
O1 O 0.0056 0.3529 0.2518
```

=====

No. 3
Diffraction record for TiGaRh2. The X-ray diffraction stick pattern is simulated, not measured: it uses DFT lattice parameters and positions (GGA-PBE) and a wavelength of 1.5418 Å.
No peak broadening, texture or thermal motion is included.

Main lines, most intense first (2θ = 5–70°):
| 2θ/deg | d (Å) | intensity |
| --- | --- | --- |
| 41.60 | 2.171 | 100 |
| 60.29 | 1.535 | 16 |
| 29.08 | 3.070 | 10 |
| 68.31 | 1.373 | 4 |
| 51.56 | 1.773 | 3 |
| 25.12 | 3.545 | 1 |
| 49.21 | 1.851 | 1 |

Cell and atoms:
```
data_TiGaRh2
_chemical_formula_sum 'Ti4 Ga4 Rh8'
_space_group_name_H-M_alt 'F m -3 m'
_space_group_IT_number 225
_space_group_name_Hall '-F 4 2 3'
_cell_length_a 6.140
_cell_length_b 6.140
_cell_length_c 6.140
_cell_angle_alpha 90.00
_cell_angle_beta 90.00
_cell_angle_gamma 90.00
loop_
_atom_site_label
_atom_site_type_symbol
_atom_site_fract_x
_atom_site_fract_y
_atom_site_fract_z
Ti1 Ti 0.000 0.000 0.000
Ga1 Ga 0.000 0.000 0.500
Rh1 Rh 0.250 0.250 0.250
```

=====

No. 4
Diffraction record for PtC4S2Br2O2. The X-ray diffraction stick pattern is simulated, not measured: it uses DFT lattice parameters and positions (GGA-PBE) and a wavelength of 1.5418 Å.
No peak broadening, texture or thermal motion is included.

Main lines, most intense first (2θ = 5–70°):
| 2θ/deg | d (Å) | intensity |
| --- | --- | --- |
| 10.59 | 8.354 | 100 |
| 11.37 | 7.783 | 75 |
| 11.66 | 7.587 | 56 |
| 16.51 | 5.368 | 47 |
| 18.56 | 4.780 | 41 |
| 18.28 | 4.854 | 35 |
| 22.97 | 3.872 | 22 |
| 31.51 | 2.840 | 18 |

Cell and atoms:
```
data_PtC4S2Br2O2
_chemical_formula_sum 'Pt4 C16 S8 Br8 O8'
_space_group_name_H-M_alt 'P -1'
_space_group_IT_number 2
_space_group_name_Hall '-P 1'
_cell_length_a 10.018
_cell_length_b 10.926
_cell_length_c 16.502
_cell_angle_alpha 71.61
_cell_angle_beta 88.75
_cell_angle_gamma 68.05
loop_
_atom_site_label
_atom_site_type_symbol
_atom_site_fract_x
_atom_site_fract_y
_atom_site_fract_z
Pt1 Pt 0.043 0.299 0.490
Pt2 Pt 0.435 0.255 0.970
C1 C 0.042 0.298 0.302
C2 C 0.235 0.801 0.931
C3 C 0.244 0.642 0.173
C4 C 0.261 0.578 0.624
C5 C 0.268 0.697 0.096
C6 C 0.328 0.488 0.693
C7 C 0.378 0.942 0.430
C8 C 0.408 0.291 0.855
S1 S 0.076 0.397 0.345
S2 S 0.182 0.696 0.531
S3 S 0.311 0.813 0.025
S4 S 0.454 0.405 0.775
Br1 Br 0.023 0.196 0.642
Br2 Br 0.242 0.339 0.051
Br3 Br 0.269 0.313 0.528
Br4 Br 0.354 0.795 0.843
O1 O 0.018 0.231 0.266
O2 O 0.225 0.584 0.243
O3 O 0.233 0.961 0.015
O4 O 0.359 0.961 0.495
```

=====

No. 5
Diffraction record for KCeHf2O6. The X-ray diffraction stick pattern is simulated, not measured: it uses DFT lattice parameters and positions (GGA-PBE) and a wavelength of 1.5418 Å.
No peak broadening, texture or thermal motion is included.

Main lines, most intense first (2θ = 5–70°):
| 2θ/deg | d (Å) | intensity |
| --- | --- | --- |
| 30.66 | 2.916 | 100 |
| 54.51 | 1.683 | 40 |
| 43.92 | 2.062 | 29 |
| 21.55 | 4.123 | 20 |
| 63.85 | 1.458 | 18 |
| 49.43 | 1.844 | 9 |
| 18.64 | 4.761 | 9 |
| 36.12 | 2.486 | 5 |

Cell and atoms:
```
data_KCeHf2O6
_chemical_formula_sum 'K4 Ce4 Hf8 O24'
_space_group_name_H-M_alt 'F m -3 m'
_space_group_IT_number 225
_space_group_name_Hall '-F 4 2 3'
_cell_length_a 8.247
_cell_length_b 8.247
_cell_length_c 8.247
_cell_angle_alpha 90.00
_cell_angle_beta 90.00
_cell_angle_gamma 90.00
loop_
_atom_site_label
_atom_site_type_symbol
_atom_site_fract_x
_atom_site_fract_y
_atom_site_fract_z
K1 K 0.000 0.000 0.000
Ce1 Ce 0.000 0.000 0.500
Hf1 Hf 0.250 0.250 0.250
O1 O 0.000 0.250 0.250
```

=====

No. 6
Diffraction record for Cs2ReCl3O3. The X-ray diffraction stick pattern is simulated, not measured: it uses DFT lattice parameters and positions (GGA-PBE) and a wavelength of 1.5418 Å.
No peak broadening, texture or thermal motion is included.

Main lines, most intense first (2θ = 5–70°):
| 2θ/deg | d (Å) | intensity |
| --- | --- | --- |
| 24.78 | 3.592 | 100 |
| 24.16 | 3.684 | 78 |
| 21.69 | 4.097 | 75 |
| 30.66 | 2.916 | 53 |
| 16.34 | 5.424 | 50 |
| 26.52 | 3.361 | 43 |
| 20.55 | 4.322 | 41 |
| 35.47 | 2.531 | 39 |

Cell and atoms:
```
data_Cs2ReCl3O3
_chemical_formula_sum 'Cs8 Re4 Cl12 O12'
_space_group_name_H-M_alt 'P n m a'
_space_group_IT_number 62
_space_group_name_Hall '-P 2ac 2n'
_cell_length_a 10.816
_cell_length_b 7.190
_cell_length_c 12.868
_cell_angle_alpha 90.00
_cell_angle_beta 90.00
_cell_angle_gamma 90.00
loop_
_atom_site_label
_atom_site_type_symbol
_atom_site_fract_x
_atom_site_fract_y
_atom_site_fract_z
Cs1 Cs 0.033 0.250 0.182
Cs2 Cs 0.155 0.750 0.411
Re1 Re 0.188 0.750 0.067
Cl1 Cl 0.123 0.250 0.446
Cl2 Cl 0.179 0.020 0.667
O1 O 0.087 0.750 0.173
O2 O 0.135 0.560 0.994
```

=====

No. 7
Diffraction record for FeCuNi. The X-ray diffraction stick pattern is simulated, not measured: it uses DFT lattice parameters and positions (GGA-PBE) and a wavelength of 1.5418 Å.
No peak broadening, texture or thermal motion is included.

Main lines, most intense first (2θ = 5–70°):
| 2θ/deg | d (Å) | intensity |
| --- | --- | --- |
| 44.79 | 2.023 | 100 |
| 51.96 | 1.760 | 62 |
| 43.99 | 2.059 | 34 |
| 28.92 | 3.088 | 1 |
| 62.59 | 1.484 | 1 |

Cell and atoms:
```
data_FeCuNi
_chemical_formula_sum 'Fe1 Cu1 Ni1'
_space_group_name_H-M_alt 'P 3 m 1'
_space_group_IT_number 156
_space_group_name_Hall 'P 3 -2"'
_cell_length_a 2.4729
_cell_length_b 2.4729
_cell_length_c 6.1756
_cell_angle_alpha 90.00
_cell_angle_beta 90.00
_cell_angle_gamma 120.00
loop_
_atom_site_label
_atom_site_type_symbol
_atom_site_fract_x
_atom_site_fract_y
_atom_site_fract_z
Fe1 Fe 0.0000 0.0000 0.0000
Cu1 Cu 0.3333 0.6667 0.6575
Ni1 Ni 0.6667 0.3333 0.3154
```

=====

Question: Number 6 is which compound?
Answer: Cs2ReCl3O3